No. 1
The following is a calculated powder X-ray diffraction pattern of Sr2Si7Pd12. It was derived from a crystal structure in Alexandria, relaxed with PBE, using Cu Kα (weighted mean of Kα1 and Kα2).
Intensities are scaled so that the largest is 100.

Crystal structure
Cell: 10.1221 10.1221 3.8721 Å, 90.00 90.00 120.00°
Space group P-6 (No. 174)
Symmetry-distinct sites (fractional):
1 Sr 0.0000 0.0000 0.0000
2 Sr 0.3333 0.6667 0.5000
3 Si 0.0676 0.4466 0.0000
4 Si 0.2673 0.2254 0.5000
5 Si 0.6667 0.3333 0.0000
6 Pd 0.0494 0.2798 0.5000
7 Pd 0.1040 0.7088 0.0000
8 Pd 0.3969 0.1821 0.0000
9 Pd 0.5369 0.4326 0.5000

Principal peaks in the range 10° ≤ 2θ ≤ 80°, in order of falling intensity:
2θ = 35.66°, d 2.517, I 100, (2 1 1); 2θ = 43.98°, d 2.059, I 19, (1 3 1); 2θ = 46.93°, d 1.936, I 18, (0 0 2); 2θ = 45.08°, d 2.011, I 17, (3 2 0); 2θ = 47.53°, d 1.913, I 16, (1 4 0); 2θ = 26.91°, d 3.313, I 15, (2 1 0); 2θ = 79.73°, d 1.203, I 10, (2 1 3); 2θ = 69.02°, d 1.361, I 10, (1 4 2); 2θ = 67.11°, d 1.395, I 10, (3 2 2); 2θ = 38.60°, d 2.332, I 10, (3 0 1)

=====

No. 2
The following is a calculated powder X-ray diffraction pattern of SrSi2Pd5. It was derived from a crystal structure in Alexandria, relaxed with PBE, using Cu Kα (weighted mean of Kα1 and Kα2).
Intensities are scaled so that the largest is 100.

Crystal structure
Cell: 3.9504 7.0308 10.1419 Å, 90.00 90.00 90.00°
Space group Immm (No. 71)
Symmetry-distinct sites (fractional):
1 Sr 0.0000 0.0000 0.0000
2 Si 0.0000 0.5000 0.2355
3 Pd 0.0000 0.1965 0.3444
4 Pd 0.0000 0.5000 0.0000

Principal peaks in the range 10° ≤ 2θ ≤ 80°, in order of falling intensity:
2θ = 34.93°, d 2.569, I 100, (1 0 3); 2θ = 35.30°, d 2.542, I 82, (1 2 1); 2θ = 44.03°, d 2.056, I 34, (0 2 4); 2θ = 45.95°, d 1.975, I 29, (2 0 0); 2θ = 30.95°, d 2.889, I 27, (0 2 2); 2θ = 44.97°, d 2.016, I 26, (1 3 0); 2θ = 15.33°, d 5.778, I 24, (0 1 1); 2θ = 65.53°, d 1.425, I 21, (2 2 4); 2θ = 47.19°, d 1.926, I 15, (0 3 3); 2θ = 74.85°, d 1.269, I 12, (1 2 7)

=====

No. 3
The following is a calculated powder X-ray diffraction pattern of Tb2Si3Pd5. It was derived from a crystal structure in Alexandria, relaxed with PBE, using Cu Kα (weighted mean of Kα1 and Kα2).
Intensities are scaled so that the largest is 100.

Crystal structure
Cell: 4.2339 24.1621 6.7154 Å, 90.00 90.00 90.00°
Space group Cmc2_1 (No. 36)
Symmetry-distinct sites (fractional):
1 Tb 0.0000 0.0238 0.0000
2 Tb 0.0000 0.3259 0.9692
3 Si 0.0000 0.1201 0.7572
4 Si 0.0000 0.2724 0.4225
5 Si 0.0000 0.4495 0.7913
6 Pd 0.0000 0.0940 0.3929
7 Pd 0.0000 0.2005 0.1424
8 Pd 0.0000 0.2220 0.7282
9 Pd 0.0000 0.3736 0.4961
10 Pd 0.0000 0.4455 0.1655

Principal peaks in the range 10° ≤ 2θ ≤ 80°, in order of falling intensity:
2θ = 35.91°, d 2.501, I 100, (1 3 2); 2θ = 36.14°, d 2.485, I 98, (1 7 1); 2θ = 42.71°, d 2.117, I 48, (2 0 0); 2θ = 39.64°, d 2.274, I 35, (0 10 1); 2θ = 39.76°, d 2.267, I 27, (1 9 0); 2θ = 38.98°, d 2.311, I 26, (1 5 2); 2θ = 59.68°, d 1.549, I 23, (2 10 1); 2θ = 43.10°, d 2.099, I 21, (0 4 3); 2θ = 69.37°, d 1.355, I 17, (1 13 3); 2θ = 34.79°, d 2.579, I 17, (0 6 2)

=====

No. 4
The following is a calculated powder X-ray diffraction pattern of Tb3Si4Pd. It was derived from a crystal structure in Alexandria, relaxed with PBE, using Cu Kα (weighted mean of Kα1 and Kα2).
Intensities are scaled so that the largest is 100.

Crystal structure
Cell: 4.2926 5.6818 14.6048 Å, 90.00 90.00 90.00°
Space group Immm (No. 71)
Symmetry-distinct sites (fractional):
1 Tb 0.0000 0.0000 0.0000
2 Tb 0.0000 0.5000 0.1931
3 Si 0.0000 0.2932 0.3791
4 Pd 0.0000 0.0000 0.5000

Principal peaks in the range 10° ≤ 2θ ≤ 80°, in order of falling intensity:
2θ = 28.79°, d 3.101, I 100, (1 1 2); 2θ = 24.07°, d 3.697, I 29, (0 1 3); 2θ = 57.19°, d 1.611, I 22, (1 1 8); 2θ = 37.23°, d 2.415, I 20, (1 0 5); 2θ = 31.49°, d 2.841, I 18, (0 2 0); 2θ = 54.42°, d 1.686, I 17, (1 3 2); 2θ = 42.10°, d 2.146, I 17, (2 0 0); 2θ = 35.95°, d 2.498, I 14, (1 1 4); 2θ = 40.22°, d 2.242, I 13, (0 2 4); 2θ = 68.88°, d 1.363, I 13, (3 1 2)

=====

No. 5
The following is a calculated powder X-ray diffraction pattern of Tb3Si8Pd3. It was derived from a crystal structure in Alexandria, relaxed with PBE, using Cu Kα (weighted mean of Kα1 and Kα2).
Intensities are scaled so that the largest is 100.

Crystal structure
Cell: 15.0426 4.2062 8.8581 Å, 90.00 119.50 90.00°
Space group C2/m (No. 12)
Symmetry-distinct sites (fractional):
1 Tb 0.0000 0.0000 0.0000
2 Tb 0.1977 0.5000 0.6482
3 Si 0.0230 0.5000 0.7281
4 Si 0.1132 0.0000 0.3762
5 Si 0.1342 0.0000 0.8418
6 Si 0.1340 0.5000 0.2607
7 Pd 0.0000 0.0000 0.5000
8 Pd 0.1788 0.5000 0.0337

Principal peaks in the range 10° ≤ 2θ ≤ 80°, in order of falling intensity:
2θ = 29.49°, d 3.029, I 100, (3 1 0); 2θ = 34.64°, d 2.589, I 84, (1 1 2); 2θ = 30.68°, d 2.914, I 55, (3 1 -2); 2θ = 37.34°, d 2.408, I 45, (3 1 -3); 2θ = 43.01°, d 2.103, I 43, (0 2 0); 2θ = 35.95°, d 2.498, I 42, (6 0 -2); 2θ = 20.17°, d 4.402, I 27, (2 0 -2); 2θ = 57.26°, d 1.609, I 22, (6 2 -2); 2θ = 34.91°, d 2.570, I 21, (0 0 3); 2θ = 47.82°, d 1.902, I 19, (5 1 -4)

=====

No. 6
The following is a calculated powder X-ray diffraction pattern of TbSi3Pd5. It was derived from a crystal structure in Alexandria, relaxed with PBE, using Cu Kα (weighted mean of Kα1 and Kα2).
Intensities are scaled so that the largest is 100.

Crystal structure
Cell: 3.8807 12.5299 12.6385 Å, 90.00 90.00 90.00°
Space group Cmcm (No. 63)
Symmetry-distinct sites (fractional):
1 Tb 0.0000 0.1456 0.2500
2 Si 0.0000 0.1190 0.7500
3 Si 0.0000 0.3855 0.5413
4 Pd 0.0000 0.0000 0.0000
5 Pd 0.0000 0.2065 0.5770
6 Pd 0.0000 0.4488 0.1458

Principal peaks in the range 10° ≤ 2θ ≤ 80°, in order of falling intensity:
2θ = 32.16°, d 2.783, I 100, (1 1 3); 2θ = 37.40°, d 2.405, I 88, (1 1 4); 2θ = 45.42°, d 1.997, I 78, (0 2 6); 2θ = 32.28°, d 2.774, I 56, (1 3 1); 2θ = 25.48°, d 3.496, I 55, (0 2 3); 2θ = 46.82°, d 1.940, I 55, (2 0 0); 2θ = 31.47°, d 2.843, I 50, (1 3 0); 2θ = 34.60°, d 2.593, I 49, (1 3 2); 2θ = 31.89°, d 2.807, I 37, (0 4 2); 2θ = 43.95°, d 2.060, I 28, (0 6 1)